No. 1
# USe3
Calculated powder X-ray diffraction pattern, Cu Kα (weighted mean of Kα1 and Kα2). Input: a DFT-relaxed cell (GGA-PBE, the Materials Project).

Peak list (10 most intense, 5° ≤ 2θ ≤ 70°, by angle)
2θ/deg, intensity
8.75, 100
16.91, 24
18.93, 26
28.30, 88
31.63, 18
34.68, 21
39.73, 18
40.85, 19
41.06, 18
44.93, 18

Atomic structure:
```
8
Lattice="5.714 0.000 0.000 0.000 4.035 0.000 -1.330 0.000 10.110" Properties=species:S:1:pos:R:3 pbc="T T T"
U 0.764 1.009 3.646
U 3.621 3.026 6.464
Se -0.900 1.009 8.193
Se 0.765 3.026 5.710
Se 1.946 3.026 1.904
Se 2.439 1.009 8.206
Se 3.619 1.009 4.400
Se 5.284 3.026 1.917
```


No. 2
# U2Se3
Calculated powder X-ray diffraction pattern, Cu Kα (weighted mean of Kα1 and Kα2). Input: a DFT-relaxed cell (GGA-PBE, the Materials Project).

Peak list (10 most intense, 5° ≤ 2θ ≤ 70°, by angle)
2θ/deg, intensity
22.80, 100
25.46, 58
28.81, 95
32.11, 62
33.21, 51
34.21, 87
37.01, 54
40.52, 53
43.06, 59
45.51, 63

Atomic structure:
```
20
Lattice="11.070 0.000 0.000 0.000 3.986 0.000 0.000 0.000 10.995" Properties=species:S:1:pos:R:3 pbc="T T T"
U 0.146 0.997 2.023
U 2.100 0.997 5.600
U 3.435 2.990 0.103
U 5.389 2.990 7.520
U 5.680 0.997 3.474
U 7.635 0.997 10.892
U 8.969 2.990 5.394
U 10.924 2.990 8.972
Se 0.571 2.990 4.083
Se 1.383 0.997 10.391
Se 2.494 2.990 7.750
Se 3.041 0.997 2.252
Se 4.152 2.990 4.893
Se 4.964 0.997 9.581
Se 6.106 2.990 1.414
Se 6.918 0.997 6.101
Se 8.029 2.990 8.742
Se 8.575 0.997 3.245
Se 9.687 2.990 0.604
Se 10.499 0.997 6.911
```


No. 3
# USe2
Calculated powder X-ray diffraction pattern, Cu Kα (weighted mean of Kα1 and Kα2). Input: a DFT-relaxed cell (GGA-PBE, the Materials Project).

Peak list (10 most intense, 5° ≤ 2θ ≤ 70°, by angle)
2θ/deg, intensity
23.13, 72
25.60, 51
31.98, 46
34.77, 100
40.63, 59
42.17, 67
44.41, 25
50.65, 19
61.75, 35
65.19, 35

Atomic structure:
```
9
Lattice="7.692 0.000 0.000 -3.846 6.662 0.000 0.000 0.000 4.080" Properties=species:S:1:pos:R:3 pbc="T T T"
U 0.000 0.000 0.000
U 0.000 4.441 2.040
U 3.846 2.221 2.040
Se -0.997 1.727 2.040
Se -2.285 3.958 0.000
Se 1.994 0.000 2.040
Se 1.561 2.704 0.000
Se 4.570 0.000 0.000
Se 2.849 4.935 2.040
```


No. 4
# USe2
Calculated powder X-ray diffraction pattern, Cu Kα (weighted mean of Kα1 and Kα2). Input: a DFT-relaxed cell (GGA-PBE, the Materials Project).

Peak list (10 most intense, 5° ≤ 2θ ≤ 70°, by angle)
2θ/deg, intensity
22.91, 63
23.60, 37
23.73, 30
26.46, 38
33.72, 100
36.78, 34
38.76, 54
41.24, 45
43.69, 33
61.63, 28

Atomic structure:
```
12
Lattice="7.498 0.000 0.000 0.000 4.144 0.000 0.000 0.000 9.076" Properties=species:S:1:pos:R:3 pbc="T T T"
U 1.849 1.036 1.180
U 1.900 3.108 5.718
U 5.598 1.036 3.358
U 5.649 3.108 7.896
Se 0.238 3.108 3.041
Se 1.053 3.108 8.450
Se 2.696 1.036 3.912
Se 3.511 1.036 7.579
Se 3.987 3.108 1.497
Se 4.802 3.108 5.164
Se 6.445 1.036 0.626
Se 7.260 1.036 6.035
```


No. 5
# USe2
Calculated powder X-ray diffraction pattern, Cu Kα (weighted mean of Kα1 and Kα2). Input: a DFT-relaxed cell (GGA-PBE, the Materials Project).

Peak list (10 most intense, 5° ≤ 2θ ≤ 70°, by angle)
2θ/deg, intensity
23.02, 100
29.74, 19
33.13, 40
35.67, 14
37.30, 66
37.67, 31
38.21, 41
43.68, 15
45.55, 35
47.91, 30

Atomic structure:
```
30
Lattice="10.680 0.000 0.000 0.000 10.680 0.000 0.000 0.000 6.574" Properties=species:S:1:pos:R:3 pbc="T T T"
U 0.966 9.661 1.643
U 1.019 6.306 4.931
U 2.670 2.670 0.933
U 4.321 9.714 4.931
U 4.374 6.359 1.643
U 6.306 4.321 4.931
U 6.359 0.966 1.643
U 8.010 8.010 5.640
U 9.661 4.374 1.643
U 9.714 1.019 4.931
Se 0.433 1.736 2.507
Se 0.450 3.592 5.820
Se 1.736 4.907 2.507
Se 1.748 0.450 5.820
Se 2.670 8.010 0.000
Se 2.670 8.010 3.287
Se 3.592 4.890 5.820
Se 3.604 0.433 2.507
Se 4.890 1.748 5.820
Se 4.907 3.604 2.507
Se 5.773 7.076 4.067
Se 5.789 8.932 0.754
Se 7.076 10.247 4.067
Se 7.088 5.789 0.754
Se 8.010 2.670 0.000
Se 8.010 2.670 3.287
Se 8.932 10.230 0.754
Se 8.944 5.773 4.067
Se 10.230 7.088 0.754
Se 10.247 8.944 4.067
```


No. 6
# U3Se4
Calculated powder X-ray diffraction pattern, Cu Kα (weighted mean of Kα1 and Kα2). Input: a DFT-relaxed cell (GGA-PBE, the Materials Project).

Peak list (10 most intense, 5° ≤ 2θ ≤ 70°, by angle)
2θ/deg, intensity
25.16, 63
32.66, 100
38.86, 66
46.86, 35
49.29, 23
51.64, 10
53.92, 24
58.29, 7
66.47, 37
68.43, 9

Atomic structure:
```
14
Lattice="-4.335 4.335 4.335 4.335 -4.335 4.335 4.335 4.335 -4.335" Properties=species:S:1:pos:R:3 pbc="T T T"
U 4.335 -2.168 3.251
U 3.251 4.335 -2.168
U 4.335 2.168 1.084
U 2.168 1.084 4.335
U 1.084 4.335 2.168
U -2.168 3.251 4.335
Se 2.828 1.507 -1.507
Se 4.996 -0.661 0.661
Se 1.507 -1.507 2.828
Se 1.507 1.507 1.507
Se -1.507 2.828 1.507
Se 0.661 4.996 -0.661
Se -0.661 0.661 4.996
Se 3.675 3.675 3.675
```


No. 7
# U8VSe17
Calculated powder X-ray diffraction pattern, Cu Kα (weighted mean of Kα1 and Kα2). Input: a DFT-relaxed cell (GGA-PBE, the Materials Project).

Peak list (10 most intense, 5° ≤ 2θ ≤ 70°, by angle)
2θ/deg, intensity
24.19, 100
24.77, 74
33.21, 60
33.79, 98
34.02, 64
35.75, 55
36.74, 51
37.20, 68
38.92, 76
41.24, 64

Atomic structure:
```
26
Lattice="6.916 -4.379 0.000 6.916 4.379 0.000 -2.079 0.000 10.618" Properties=species:S:1:pos:R:3 pbc="T T T"
U 4.420 2.267 8.473
U 0.816 0.000 10.176
U 7.333 2.267 2.145
U 3.402 0.000 5.142
U 8.350 0.000 5.476
U 4.420 -2.267 8.473
U 10.937 0.000 0.442
U 7.333 -2.267 2.145
V -1.040 0.000 5.309
Se 0.000 0.000 0.000
Se 3.975 2.711 5.600
Se -0.687 0.000 7.736
Se 5.087 1.685 0.388
Se 2.495 0.000 2.373
Se 2.609 0.000 7.909
Se 7.777 2.711 5.017
Se 6.665 1.685 10.229
Se 5.931 0.000 3.519
Se 5.821 0.000 7.099
Se 5.087 -1.685 0.388
Se 3.975 -2.711 5.600
Se 9.144 0.000 2.709
Se 9.258 0.000 8.245
Se 6.665 -1.685 10.229
Se 12.440 0.000 2.882
Se 7.777 -2.711 5.017
```


No. 8
# UVSe3
Calculated powder X-ray diffraction pattern, Cu Kα (weighted mean of Kα1 and Kα2). Input: a DFT-relaxed cell (GGA-PBE, the Materials Project).

Peak list (10 most intense, 5° ≤ 2θ ≤ 70°, by angle)
2θ/deg, intensity
20.69, 53
26.38, 32
32.04, 56
33.92, 100
36.10, 32
37.54, 35
37.95, 25
39.42, 31
40.59, 25
53.46, 26

Atomic structure:
```
20
Lattice="7.347 0.000 0.000 0.000 9.483 0.000 0.000 0.000 6.372" Properties=species:S:1:pos:R:3 pbc="T T T"
U 0.889 2.371 0.417
U 2.784 7.112 3.603
U 4.563 2.371 2.769
U 6.458 7.112 5.955
V 0.000 0.000 3.186
V 0.000 4.741 3.186
V 3.674 0.000 0.000
V 3.674 4.741 0.000
Se 0.299 7.112 2.232
Se 1.327 5.319 5.369
Se 1.327 8.905 5.369
Se 2.347 0.578 2.183
Se 2.347 4.163 2.183
Se 3.375 2.371 5.419
Se 3.972 7.112 0.954
Se 5.000 5.319 4.190
Se 5.000 8.905 4.190
Se 6.021 0.578 1.003
Se 6.021 4.163 1.003
Se 7.049 2.371 4.140
```


No. 9
# Y2USe3
Calculated powder X-ray diffraction pattern, Cu Kα (weighted mean of Kα1 and Kα2). Input: a DFT-relaxed cell (GGA-PBE, the Materials Project).

Peak list (10 most intense, 5° ≤ 2θ ≤ 70°, by angle)
2θ/deg, intensity
8.61, 25
25.64, 7
27.09, 14
31.08, 100
36.85, 6
43.84, 37
45.20, 34
53.52, 9
55.87, 19
64.79, 12

Atomic structure:
```
6
Lattice="4.012 0.000 0.000 -2.006 3.475 0.000 0.000 0.000 10.273" Properties=species:S:1:pos:R:3 pbc="T T T"
Y 0.000 2.316 1.779
Y 2.006 1.158 8.493
U 0.000 0.000 5.136
Se 0.000 0.000 0.000
Se 0.000 2.316 6.862
Se 2.006 1.158 3.410
```


No. 10
# V5Se8
Calculated powder X-ray diffraction pattern, Cu Kα (weighted mean of Kα1 and Kα2). Input: a DFT-relaxed cell (GGA-PBE, the Materials Project).

Peak list (10 most intense, 5° ≤ 2θ ≤ 70°, by angle)
2θ/deg, intensity
15.01, 12
30.28, 11
32.68, 25
32.96, 100
42.22, 20
42.39, 11
42.62, 19
51.08, 14
52.04, 27
55.17, 15

Atomic structure:
```
13
Lattice="5.905 -3.576 0.000 5.905 3.576 0.000 -5.798 0.000 6.054" Properties=species:S:1:pos:R:3 pbc="T T T"
V 0.000 0.000 0.000
V 2.946 0.000 0.264
V 3.006 1.513 3.027
V 3.006 -1.513 3.027
V 3.066 0.000 5.790
Se -1.658 0.000 1.951
Se -1.372 1.759 5.025
Se 1.366 0.000 4.029
Se 7.384 1.759 1.029
Se -1.372 -1.759 5.025
Se 4.646 0.000 2.025
Se 7.384 -1.759 1.029
Se 7.670 0.000 4.103
```


No. 11
# VSe
Calculated powder X-ray diffraction pattern, Cu Kα (weighted mean of Kα1 and Kα2). Input: a DFT-relaxed cell (GGA-PBE, the Materials Project).

Peak list (10 most intense, 5° ≤ 2θ ≤ 70°, by angle)
2θ/deg, intensity
26.18, 4
29.70, 31
32.54, 31
40.00, 100
50.37, 8
52.70, 33
53.88, 10
61.66, 4
62.73, 7
68.16, 20

Atomic structure:
```
4
Lattice="3.474 0.000 0.000 -1.737 3.008 0.000 0.000 0.000 6.807" Properties=species:S:1:pos:R:3 pbc="T T T"
V 0.000 2.006 1.702
V 1.737 1.003 5.105
Se 0.000 0.000 0.000
Se 0.000 0.000 3.403
```


No. 12
# V2Se9
Calculated powder X-ray diffraction pattern, Cu Kα (weighted mean of Kα1 and Kα2). Input: a DFT-relaxed cell (GGA-PBE, the Materials Project).

Peak list (10 most intense, 5° ≤ 2θ ≤ 70°, by angle)
2θ/deg, intensity
13.24, 99
13.90, 100
25.68, 37
29.41, 39
31.38, 48
32.00, 28
34.72, 28
41.63, 26
44.64, 38
47.91, 33

Atomic structure:
```
22
Lattice="5.467 -6.688 0.000 5.467 6.688 0.000 -1.441 0.000 8.403" Properties=species:S:1:pos:R:3 pbc="T T T"
V 3.178 3.588 4.917
V 5.593 3.588 7.687
V 3.899 -3.588 0.716
V 6.314 -3.588 3.486
Se 4.386 5.432 6.302
Se 4.920 4.649 0.239
Se 3.125 2.191 2.815
Se 2.115 1.264 4.679
Se 5.293 4.649 3.962
Se 3.141 2.653 7.390
Se 2.835 -1.264 0.478
Se 5.631 2.653 5.214
Se 2.404 -2.191 7.016
Se 7.088 2.191 1.387
Se 3.861 -2.653 3.189
Se 6.657 1.264 7.925
Se 6.351 -2.653 1.013
Se 4.199 -4.649 4.441
Se 7.377 -1.264 3.724
Se 6.367 -2.191 5.588
Se 4.572 -4.649 8.164
Se 5.106 -5.432 2.101
```